The following is a simulated powder diffractogram of Ba2DyInO5. It was derived from a GGA-PBE-relaxed structure, using Cu Kα X-rays.
No peak broadening, texture or thermal motion is included.

Structure:
Cell: 3.621 14.533 11.817 Å, 90.00 90.00 90.00°
Space group Cmc2_1 (No. 36)
One atom of each set of equivalent atoms:
Ba (0.000, 0.102, 0.000) (multiplicity 4)
Ba (0.000, 0.144, 0.607) (multiplicity 4)
Dy (0.000, 0.218, 0.327) (multiplicity 4)
In (0.000, 0.476, 0.770) (multiplicity 4)
O (0.000, 0.055, 0.356) (multiplicity 4)
O (0.000, 0.278, 0.953) (multiplicity 4)
O (0.000, 0.317, 0.709) (multiplicity 4)
O (0.000, 0.372, 0.310) (multiplicity 4)
O (0.000, 0.492, 0.098) (multiplicity 4)

Peak list (8 most intense, 2θ from 5° to 70°, low angle first)
| Position (°2θ) | I (rel.) |
| --- | --- |
| 25.71 | 100 |
| 28.85 | 81 |
| 29.58 | 70 |
| 30.83 | 67 |
| 31.77 | 49 |
| 34.20 | 97 |
| 37.92 | 41 |
| 50.40 | 28 |



The following is a simulated powder diffractogram of Sm2Tm3. It was derived from a GGA-PBE-relaxed structure, using Cu Kα X-rays.
No peak broadening, texture or thermal motion is included.

Structure:
Cell: 11.849 6.252 9.174 Å, 90.00 110.14 90.00°
Space group C2/c (No. 15)
One atom of each set of equivalent atoms:
Sm (0.099, 0.169, 0.450) (multiplicity 8)
Tm (0.000, 0.335, 0.750) (multiplicity 4)
Tm (0.202, 0.334, 0.151) (multiplicity 8)

Peak list (8 most intense, 2θ from 5° to 70°, low angle first)
| Position (°2θ) | I (rel.) |
| --- | --- |
| 28.52 | 24 |
| 31.73 | 24 |
| 32.72 | 100 |
| 43.18 | 16 |
| 50.51 | 20 |
| 57.15 | 21 |
| 60.87 | 15 |
| 61.45 | 11 |



The following is a simulated powder diffractogram of ThZrFe10. It was derived from a GGA-PBE-relaxed structure, using Cu Kα X-rays.
No peak broadening, texture or thermal motion is included.

Structure:
Cell: 3.987 4.959 8.608 Å, 90.00 90.00 90.00°
Space group Pmmm (No. 47)
One atom of each set of equivalent atoms:
Th (0.000, 0.000, 0.000) (multiplicity 1)
Zr (0.000, 0.500, 0.500) (multiplicity 1)
Fe (0.000, 0.000, 0.340) (multiplicity 2)
Fe (0.000, 0.500, 0.175) (multiplicity 2)
Fe (0.500, 0.000, 0.500) (multiplicity 1)
Fe (0.500, 0.254, 0.259) (multiplicity 4)
Fe (0.500, 0.500, 0.000) (multiplicity 1)

Peak list (8 most intense, 2θ from 5° to 70°, low angle first)
| Position (°2θ) | I (rel.) |
| --- | --- |
| 30.58 | 57 |
| 36.19 | 34 |
| 42.03 | 36 |
| 42.92 | 100 |
| 45.50 | 26 |
| 59.47 | 16 |
| 63.66 | 20 |
| 69.77 | 15 |



The following is a simulated powder diffractogram of Al2CdBr6Cl2. It was derived from a GGA-PBE-relaxed structure, using Cu Kα X-rays.
No peak broadening, texture or thermal motion is included.

Structure:
Cell: 6.7849 6.7849 9.9520 Å, 90.00 90.00 120.00°
Space group P-3 (No. 147)
One atom of each set of equivalent atoms:
Al (0.3333, 0.6667, 0.2510) (multiplicity 2)
Cd (0.0000, 0.0000, 0.5000) (multiplicity 1)
Br (0.0047, 0.6652, 0.3315) (multiplicity 6)
Cl (0.3333, 0.6667, 0.0401) (multiplicity 2)

Peak list (8 most intense, 2θ from 5° to 70°, low angle first)
| Position (°2θ) | I (rel.) |
| --- | --- |
| 8.89 | 100 |
| 17.53 | 47 |
| 26.88 | 19 |
| 27.78 | 82 |
| 31.93 | 77 |
| 37.94 | 23 |
| 45.19 | 36 |
| 46.36 | 36 |



The following is a simulated powder diffractogram of PaHIrO6. It was derived from a GGA-PBE-relaxed structure, using Cu Kα X-rays.
No peak broadening, texture or thermal motion is included.

Structure:
Cell: 4.786 4.786 9.984 Å, 90.00 90.00 90.00°
Space group P4_2nm (No. 102)
One atom of each set of equivalent atoms:
Pa (0.000, 0.000, 0.000) (multiplicity 2)
H (0.000, 0.000, 0.461) (multiplicity 2)
Ir (0.000, 0.000, 0.678) (multiplicity 2)
O (0.172, 0.172, 0.507) (multiplicity 4)
O (0.188, 0.188, 0.823) (multiplicity 4)
O (0.223, 0.223, 0.158) (multiplicity 4)

Peak list (8 most intense, 2θ from 5° to 70°, low angle first)
| Position (°2θ) | I (rel.) |
| --- | --- |
| 17.77 | 25 |
| 20.58 | 96 |
| 26.33 | 100 |
| 31.95 | 22 |
| 32.78 | 88 |
| 37.59 | 25 |
| 43.23 | 28 |
| 50.71 | 69 |



The following is a simulated powder diffractogram of Tb12Er3Mg. It was derived from a GGA-PBE-relaxed structure, using Cu Kα X-rays.
No peak broadening, texture or thermal motion is included.

Structure:
Cell: 4.989 4.989 20.039 Å, 90.00 90.00 90.00°
Space group P4/mmm (No. 123)
One atom of each set of equivalent atoms:
Tb (0.000, 0.000, 0.000) (multiplicity 1)
Tb (0.000, 0.000, 0.246) (multiplicity 2)
Tb (0.000, 0.000, 0.500) (multiplicity 1)
Tb (0.000, 0.500, 0.123) (multiplicity 4)
Tb (0.000, 0.500, 0.374) (multiplicity 4)
Er (0.500, 0.500, 0.248) (multiplicity 2)
Er (0.500, 0.500, 0.500) (multiplicity 1)
Mg (0.500, 0.500, 0.000) (multiplicity 1)

Peak list (8 most intense, 2θ from 5° to 70°, low angle first)
| Position (°2θ) | I (rel.) |
| --- | --- |
| 31.00 | 100 |
| 35.85 | 17 |
| 36.00 | 34 |
| 51.72 | 24 |
| 51.83 | 12 |
| 61.43 | 14 |
| 61.63 | 28 |
| 64.63 | 12 |



The following is a simulated powder diffractogram of Dy2Tc3Ge4. It was derived from a GGA-PBE-relaxed structure, using Cu Kα X-rays.
No peak broadening, texture or thermal motion is included.

Structure:
Cell: 5.453 9.417 12.974 Å, 90.00 90.00 90.00°
Space group Fmmm (No. 69)
One atom of each set of equivalent atoms:
Dy (0.000, 0.000, 0.135) (multiplicity 8)
Tc (0.000, 0.000, 0.500) (multiplicity 4)
Tc (0.250, 0.250, 0.000) (multiplicity 8)
Ge (0.000, 0.165, 0.339) (multiplicity 16)

Peak list (8 most intense, 2θ from 5° to 70°, low angle first)
| Position (°2θ) | I (rel.) |
| --- | --- |
| 27.99 | 25 |
| 32.85 | 25 |
| 33.66 | 25 |
| 38.17 | 40 |
| 39.12 | 100 |
| 40.72 | 32 |
| 43.35 | 30 |
| 62.87 | 24 |